No. 1
NaLaCuTe4: calculated powder X-ray diffraction pattern (Cu Ka), based on a structure optimized by DFT (PBE).

Structure:
```
NaLaCuTe4
1.0
4.447 0.000 0.000
0.000 4.447 0.000
0.000 0.000 20.411
Na La Cu Te
2 2 2 8
Direct
0.250 0.250 0.130
0.750 0.750 0.870
0.250 0.250 0.605
0.750 0.750 0.395
0.250 0.750 0.000
0.750 0.250 0.000
0.250 0.250 0.440
0.250 0.250 0.926
0.250 0.750 0.268
0.250 0.750 0.732
0.750 0.250 0.268
0.750 0.250 0.732
0.750 0.750 0.074
0.750 0.750 0.560
```

Peak list (10 most intense, 2θ = 15–90°, in order of rising 2θ)
two_theta, d [Å], intensity
26.20, 3.402, 36
26.59, 3.353, 28
29.73, 3.005, 86
33.16, 2.702, 32
33.47, 2.677, 100
40.57, 2.224, 72
45.80, 1.981, 25
48.94, 1.861, 26
49.13, 1.854, 25
69.31, 1.356, 24

=====

No. 2
LaNd2Cu9: calculated powder X-ray diffraction pattern (Cu Ka), based on a structure optimized by DFT (PBE).

Structure:
```
LaNd2Cu9
1.0
5.328 0.000 0.000
-2.664 4.615 0.000
0.000 0.000 16.663
La Nd Cu
2 4 18
Direct
0.333 0.667 0.250
0.667 0.333 0.750
0.333 0.667 0.033
0.333 0.667 0.467
0.667 0.333 0.533
0.667 0.333 0.967
0.000 0.000 0.000
0.000 0.000 0.250
0.000 0.000 0.500
0.000 0.000 0.750
0.165 0.331 0.628
0.165 0.331 0.872
0.165 0.835 0.628
0.165 0.835 0.872
0.331 0.165 0.128
0.331 0.165 0.372
0.333 0.667 0.750
0.667 0.333 0.250
0.669 0.835 0.628
0.669 0.835 0.872
0.835 0.165 0.128
0.835 0.165 0.372
0.835 0.669 0.128
0.835 0.669 0.372
```

Peak list (10 most intense, 2θ = 15–90°, in order of rising 2θ)
two_theta, d [Å], intensity
33.16, 2.702, 48
33.64, 2.664, 43
39.43, 2.285, 31
40.18, 2.244, 100
42.42, 2.131, 19
42.74, 2.116, 12
43.45, 2.083, 15
59.85, 1.545, 20
64.56, 1.443, 42
70.72, 1.332, 21

=====

No. 3
La4NdCu2: calculated powder X-ray diffraction pattern (Cu Ka), based on a structure optimized by DFT (PBE).

Structure:
```
La4NdCu2
1.0
7.268 0.000 0.000
0.000 6.898 0.000
-2.819 0.000 8.255
La Nd Cu
8 2 4
Direct
0.016 0.250 0.397
0.214 0.750 0.331
0.393 0.014 0.767
0.393 0.486 0.767
0.607 0.514 0.233
0.607 0.986 0.233
0.786 0.250 0.669
0.984 0.750 0.603
0.139 0.250 0.040
0.861 0.750 0.960
0.271 0.750 0.996
0.404 0.250 0.406
0.596 0.750 0.594
0.729 0.250 0.004
```

Peak list (10 most intense, 2θ = 15–90°, in order of rising 2θ)
two_theta, d [Å], intensity
28.59, 3.122, 35
28.96, 3.083, 61
29.42, 3.036, 48
30.83, 2.901, 100
31.24, 2.863, 36
32.44, 2.760, 27
33.88, 2.645, 90
35.11, 2.556, 24
35.99, 2.496, 27
42.01, 2.151, 29

=====

No. 4
La2NdCu3: calculated powder X-ray diffraction pattern (Cu Ka), based on a structure optimized by DFT (PBE).

Structure:
```
La2NdCu3
1.0
2.582 -7.732 0.000
2.582 7.732 0.000
0.000 0.000 7.216
La Nd Cu
4 2 6
Direct
0.000 0.000 0.000
0.000 0.000 0.500
0.334 0.666 0.000
0.666 0.334 0.000
0.333 0.667 0.500
0.667 0.333 0.500
0.169 0.831 0.258
0.169 0.831 0.742
0.500 0.500 0.255
0.500 0.500 0.745
0.831 0.169 0.258
0.831 0.169 0.742
```

Peak list (10 most intense, 2θ = 15–90°, in order of rising 2θ)
two_theta, d [Å], intensity
24.40, 3.649, 14
34.77, 2.580, 51
34.97, 2.566, 100
50.00, 1.824, 18
50.59, 1.804, 9
62.47, 1.487, 36
62.86, 1.478, 17
73.88, 1.283, 11
83.95, 1.153, 11
84.89, 1.142, 7